(1)
LiAgF4: simulated powder diffraction line list (Cu Kα), based on the GGA-PBE geometry in the Materials Project.

Cell and atoms:
abc: 5.490 8.132 7.754
angles: 90.00 108.29 90.00
Fractional coordinates of all 24 atoms:
Li (0.025, 0.250, 0.448)
Li (0.421, 0.250, 0.858)
Li (0.579, 0.750, 0.142)
Li (0.975, 0.750, 0.552)
Ag (0.000, 0.000, 0.000)
Ag (0.000, 0.500, 0.000)
Ag (0.500, 0.000, 0.500)
Ag (0.500, 0.500, 0.500)
F (0.106, 0.250, 0.925)
F (0.183, 0.072, 0.279)
F (0.183, 0.428, 0.279)
F (0.279, 0.093, 0.637)
F (0.279, 0.407, 0.637)
F (0.309, 0.750, 0.508)
F (0.320, 0.592, 0.988)
F (0.320, 0.908, 0.988)
F (0.680, 0.092, 0.012)
F (0.680, 0.408, 0.012)
F (0.691, 0.250, 0.492)
F (0.721, 0.593, 0.363)
F (0.721, 0.907, 0.363)
F (0.817, 0.572, 0.721)
F (0.817, 0.928, 0.721)
F (0.894, 0.750, 0.075)

The 8 most intense peaks (2θ from 5° to 70°), in order of falling intensity:
Position (°2θ), Rel. int.
17.5, 100
21.9, 67
28.1, 66
24.2, 65
23.8, 53
32.5, 32
32.8, 29
42.0, 28

(2)
TbAlPd: simulated powder diffraction line list (Cu Kα), based on the GGA-PBE geometry in the Materials Project.

Cell and atoms:
abc: 7.151 7.151 4.108
angles: 90.00 90.00 120.00
Fractional coordinates of all 9 atoms:
Tb (0.000, 0.583, 0.000)
Tb (0.417, 0.417, 0.000)
Tb (0.583, 0.000, 0.000)
Al (0.000, 0.236, 0.500)
Al (0.236, 0.000, 0.500)
Al (0.764, 0.764, 0.500)
Pd (0.000, 0.000, 0.000)
Pd (0.333, 0.667, 0.500)
Pd (0.667, 0.333, 0.500)

The 8 most intense peaks (2θ from 5° to 70°), in order of falling intensity:
Position (°2θ), Rel. int.
36.3, 100
33.2, 80
24.9, 30
28.8, 25
58.2, 24
44.1, 24
43.9, 23
38.5, 23

(3)
CsLi2Cl3: simulated powder diffraction line list (Cu Kα), based on the GGA-PBE geometry in the Materials Project.

Cell and atoms:
abc: 4.558 5.306 12.572
angles: 90.00 90.00 90.00
Fractional coordinates of all 12 atoms:
Cs (0.000, 0.000, 0.000)
Cs (0.500, 0.500, 0.500)
Li (0.000, 0.000, 0.309)
Li (0.000, 0.000, 0.691)
Li (0.500, 0.500, 0.191)
Li (0.500, 0.500, 0.809)
Cl (0.000, 0.000, 0.500)
Cl (0.000, 0.500, 0.268)
Cl (0.000, 0.500, 0.732)
Cl (0.500, 0.000, 0.232)
Cl (0.500, 0.000, 0.768)
Cl (0.500, 0.500, 0.000)

The 8 most intense peaks (2θ from 5° to 70°), in order of falling intensity:
Position (°2θ), Rel. int.
29.5, 100
28.4, 28
18.1, 28
33.8, 20
51.0, 19
14.1, 19
28.9, 16
44.7, 15

(4)
LiPH2O3: simulated powder diffraction line list (Cu Kα), based on the GGA-PBE geometry in the Materials Project.

Cell and atoms:
abc: 11.176 5.135 5.260
angles: 90.00 90.00 90.00
Fractional coordinates of all 28 atoms:
Li (0.079, 0.019, 0.000)
Li (0.421, 0.519, 0.500)
Li (0.579, 0.481, 0.000)
Li (0.921, 0.981, 0.500)
P (0.155, 0.315, 0.483)
P (0.345, 0.815, 0.983)
P (0.655, 0.185, 0.483)
P (0.845, 0.685, 0.983)
H (0.130, 0.565, 0.388)
H (0.161, 0.507, 0.857)
H (0.339, 0.007, 0.357)
H (0.370, 0.065, 0.888)
H (0.630, 0.935, 0.388)
H (0.661, 0.993, 0.857)
H (0.839, 0.493, 0.357)
H (0.870, 0.435, 0.888)
O (0.072, 0.116, 0.366)
O (0.124, 0.338, 0.780)
O (0.211, 0.766, 0.944)
O (0.289, 0.266, 0.444)
O (0.376, 0.838, 0.280)
O (0.428, 0.616, 0.866)
O (0.572, 0.384, 0.366)
O (0.624, 0.162, 0.780)
O (0.711, 0.734, 0.944)
O (0.789, 0.234, 0.444)
O (0.876, 0.662, 0.280)
O (0.928, 0.884, 0.866)

The 8 most intense peaks (2θ from 5° to 70°), in order of falling intensity:
Position (°2θ), Rel. int.
24.2, 100
23.5, 81
23.2, 27
34.1, 23
29.1, 21
32.0, 14
29.6, 13
25.5, 13

(5)
LuB4: simulated powder diffraction line list (Cu Kα), based on the GGA-PBE geometry in the Materials Project.

Cell and atoms:
abc: 7.027 7.027 3.968
angles: 90.00 90.00 90.00
Fractional coordinates of all 20 atoms:
Lu (0.182, 0.318, 0.000)
Lu (0.318, 0.818, 0.000)
Lu (0.682, 0.182, 0.000)
Lu (0.818, 0.682, 0.000)
B (0.000, 0.000, 0.202)
B (0.000, 0.000, 0.798)
B (0.039, 0.823, 0.500)
B (0.087, 0.587, 0.500)
B (0.177, 0.039, 0.500)
B (0.323, 0.539, 0.500)
B (0.413, 0.087, 0.500)
B (0.461, 0.323, 0.500)
B (0.500, 0.500, 0.202)
B (0.500, 0.500, 0.798)
B (0.539, 0.677, 0.500)
B (0.587, 0.913, 0.500)
B (0.677, 0.461, 0.500)
B (0.823, 0.961, 0.500)
B (0.913, 0.413, 0.500)
B (0.961, 0.177, 0.500)

The 8 most intense peaks (2θ from 5° to 70°), in order of falling intensity:
Position (°2θ), Rel. int.
36.5, 100
28.4, 79
22.4, 60
34.1, 53
25.4, 39
59.0, 35
53.8, 29
54.7, 27

(6)
Li2B2Rh3: simulated powder diffraction line list (Cu Kα), based on the GGA-PBE geometry in the Materials Project.

Cell and atoms:
abc: 5.807 9.577 2.852
angles: 90.00 90.00 90.00
Fractional coordinates of all 14 atoms:
Li (0.159, 0.074, 0.000)
Li (0.341, 0.574, 0.000)
Li (0.659, 0.426, 0.000)
Li (0.841, 0.926, 0.000)
B (0.063, 0.331, 0.000)
B (0.437, 0.831, 0.000)
B (0.563, 0.169, 0.000)
B (0.937, 0.669, 0.000)
Rh (0.000, 0.500, 0.500)
Rh (0.166, 0.780, 0.500)
Rh (0.334, 0.280, 0.500)
Rh (0.500, 0.000, 0.500)
Rh (0.666, 0.720, 0.500)
Rh (0.834, 0.220, 0.500)

The 8 most intense peaks (2θ from 5° to 70°), in order of falling intensity:
Position (°2θ), Rel. int.
31.4, 100
17.9, 78
45.6, 62
32.2, 61
36.2, 61
48.6, 61
45.4, 52
32.0, 48

(7)
LiTiSiO4: simulated powder diffraction line list (Cu Kα), based on the GGA-PBE geometry in the Materials Project.

Cell and atoms:
abc: 9.360 6.103 4.981
angles: 90.00 90.00 90.00
Fractional coordinates of all 28 atoms:
Li (0.170, 0.250, 0.020)
Li (0.330, 0.750, 0.520)
Li (0.670, 0.250, 0.480)
Li (0.830, 0.750, 0.980)
Ti (0.000, 0.000, 0.500)
Ti (0.000, 0.500, 0.500)
Ti (0.500, 0.000, 0.000)
Ti (0.500, 0.500, 0.000)
Si (0.178, 0.750, 0.025)
Si (0.322, 0.250, 0.525)
Si (0.678, 0.750, 0.475)
Si (0.822, 0.250, 0.975)
O (0.116, 0.531, 0.172)
O (0.116, 0.969, 0.172)
O (0.129, 0.750, 0.702)
O (0.147, 0.250, 0.599)
O (0.353, 0.750, 0.099)
O (0.371, 0.250, 0.202)
O (0.384, 0.031, 0.672)
O (0.384, 0.469, 0.672)
O (0.616, 0.531, 0.328)
O (0.616, 0.969, 0.328)
O (0.629, 0.750, 0.798)
O (0.647, 0.250, 0.901)
O (0.853, 0.750, 0.401)
O (0.871, 0.250, 0.298)
O (0.884, 0.031, 0.828)
O (0.884, 0.469, 0.828)

The 8 most intense peaks (2θ from 5° to 70°), in order of falling intensity:
Position (°2θ), Rel. int.
35.1, 100
33.9, 99
25.0, 84
20.2, 76
39.6, 52
35.8, 51
51.2, 46
64.7, 45

(8)
NaCrSe2: simulated powder diffraction line list (Cu Kα), based on the GGA-PBE geometry in the Materials Project.

Cell and atoms:
abc: 3.784 3.784 20.486
angles: 90.00 90.00 120.00
Fractional coordinates of all 12 atoms:
Na (0.000, 0.000, 0.000)
Na (0.333, 0.667, 0.667)
Na (0.667, 0.333, 0.333)
Cr (0.000, 0.000, 0.500)
Cr (0.333, 0.667, 0.167)
Cr (0.667, 0.333, 0.833)
Se (0.000, 0.000, 0.233)
Se (0.000, 0.000, 0.767)
Se (0.333, 0.667, 0.434)
Se (0.333, 0.667, 0.900)
Se (0.667, 0.333, 0.100)
Se (0.667, 0.333, 0.566)

The 8 most intense peaks (2θ from 5° to 70°), in order of falling intensity:
Position (°2θ), Rel. int.
32.4, 100
13.0, 40
48.1, 36
44.9, 26
41.4, 19
59.2, 16
28.6, 16
56.9, 14